The following is a simulated powder XRD pattern of K5Hg7. It was derived from DFT lattice parameters and positions (PBE), using Cu Kα (weighted mean of Kα1 and Kα2).
Kinematic intensities with the Lorentz-polarization factor, no thermal factor.

The 10 most intense peaks (2θ from 10° to 90°), in order of rising 2θ:
| hkl | d/Å | Position (°2θ) | I/Imax |
| --- | --- | --- | --- |
| 2 0 0 | 5.123 | 17.3 | 39 |
| 1 4 0 | 4.440 | 20.0 | 68 |
| 0 0 2 | 4.183 | 21.2 | 65 |
| 1 4 2 | 3.044 | 29.3 | 70 |
| 3 4 0 | 2.807 | 31.9 | 100 |
| 1 7 0 | 2.714 | 33.0 | 51 |
| 3 4 2 | 2.331 | 38.6 | 41 |
| 1 7 2 | 2.276 | 39.6 | 33 |
| 0 6 3 | 2.125 | 42.6 | 43 |
| 3 2 3 | 2.110 | 42.9 | 33 |

Structural model:
Cell: 10.247 19.704 8.366 Å, 90.00 90.00 90.00°
Space group Pbcm (No. 57)
One atom of each set of equivalent atoms:
K 0.007 0.110 0.250 [4 per cell]
K 0.105 0.588 0.750 [4 per cell]
K 0.185 0.210 0.750 [4 per cell]
K 0.426 0.728 0.750 [4 per cell]
K 0.481 0.518 0.750 [4 per cell]
Hg 0.123 0.750 0.000 [4 per cell]
Hg 0.194 0.029 0.565 [8 per cell]
Hg 0.319 0.619 0.067 [8 per cell]
Hg 0.370 0.143 0.067 [8 per cell]

The following is a simulated powder XRD pattern of KHg2. It was derived from DFT lattice parameters and positions (PBE), using Cu Kα (weighted mean of Kα1 and Kα2).
Kinematic intensities with the Lorentz-polarization factor, no thermal factor.

The 10 most intense peaks (2θ from 10° to 90°), in order of rising 2θ:
| hkl | d/Å | Position (°2θ) | I/Imax |
| --- | --- | --- | --- |
| 1 0 1 | 5.811 | 15.2 | 29 |
| 1 1 1 | 4.037 | 22.0 | 23 |
| 2 1 0 | 3.005 | 29.7 | 18 |
| 2 0 2 | 2.905 | 30.8 | 21 |
| 0 1 3 | 2.880 | 31.0 | 100 |
| 0 2 0 | 2.807 | 31.9 | 33 |
| 1 1 4 | 2.186 | 41.3 | 21 |
| 2 2 2 | 2.019 | 44.9 | 15 |
| 3 1 2 | 2.004 | 45.2 | 14 |
| 0 3 3 | 1.634 | 56.3 | 19 |

Structural model:
Cell: 7.114 5.613 10.071 Å, 90.00 90.00 90.00°
Space group Pnma (No. 62)
One atom of each set of equivalent atoms:
K 0.172 0.250 0.083 [4 per cell]
Hg 0.001 0.750 0.290 [4 per cell]
Hg 0.163 0.250 0.419 [4 per cell]

The following is a simulated powder XRD pattern of KHg7. It was derived from DFT lattice parameters and positions (PBE), using Cu Kα (weighted mean of Kα1 and Kα2).
Kinematic intensities with the Lorentz-polarization factor, no thermal factor.

The 10 most intense peaks (2θ from 10° to 90°), in order of rising 2θ:
| hkl | d/Å | Position (°2θ) | I/Imax |
| --- | --- | --- | --- |
| 1 1 4 | 2.835 | 31.6 | 100 |
| 2 0 0 | 2.503 | 35.9 | 36 |
| 0 0 8 | 2.368 | 38.0 | 15 |
| 2 2 0 | 1.770 | 51.6 | 13 |
| 2 0 8 | 1.720 | 53.3 | 22 |
| 3 1 4 | 1.501 | 61.8 | 30 |
| 1 1 12 | 1.442 | 64.6 | 11 |
| 2 2 8 | 1.418 | 65.9 | 12 |
| 3 3 4 | 1.145 | 84.6 | 7 |
| 3 1 12 | 1.118 | 87.2 | 11 |

Structural model:
Cell: 5.006 5.006 18.944 Å, 90.00 90.00 90.00°
Space group I4/mmm (No. 139)
One atom of each set of equivalent atoms:
K 0.000 0.000 0.000 [2 per cell]
Hg 0.000 0.000 0.246 [4 per cell]
Hg 0.000 0.000 0.500 [2 per cell]
Hg 0.000 0.500 0.131 [8 per cell]

The following is a simulated powder XRD pattern of K4Hg3. It was derived from DFT lattice parameters and positions (PBE), using Cu Kα (weighted mean of Kα1 and Kα2).
Kinematic intensities with the Lorentz-polarization factor, no thermal factor.

The 10 most intense peaks (2θ from 10° to 90°), in order of rising 2θ:
| hkl | d/Å | Position (°2θ) | I/Imax |
| --- | --- | --- | --- |
| 0 0 2 | 6.032 | 14.7 | 100 |
| 2 0 -1 | 4.703 | 18.9 | 47 |
| 1 1 -2 | 3.959 | 22.5 | 28 |
| 1 1 2 | 3.500 | 25.4 | 49 |
| 2 0 -3 | 3.485 | 25.6 | 24 |
| 0 2 0 | 2.738 | 32.7 | 85 |
| 1 1 -4 | 2.698 | 33.2 | 26 |
| 3 1 1 | 2.501 | 35.9 | 24 |
| 0 2 2 | 2.490 | 36.1 | 48 |
| 3 1 -5 | 2.024 | 44.8 | 18 |

Structural model:
Cell: 9.498 5.469 12.451 Å, 90.00 104.31 90.00°
Space group C2/m (No. 12)
One atom of each set of equivalent atoms:
K 0.052 0.000 0.158 [4 per cell]
K 0.209 0.000 0.627 [4 per cell]
Hg 0.000 0.500 0.500 [2 per cell]
Hg 0.168 0.500 0.004 [4 per cell]

The following is a simulated powder XRD pattern of KHg5. It was derived from DFT lattice parameters and positions (PBE), using Cu Kα (weighted mean of Kα1 and Kα2).
Kinematic intensities with the Lorentz-polarization factor, no thermal factor.

The 10 most intense peaks (2θ from 10° to 90°), in order of rising 2θ:
| hkl | d/Å | Position (°2θ) | I/Imax |
| --- | --- | --- | --- |
| 1 3 1 | 2.848 | 31.4 | 100 |
| 0 0 2 | 2.515 | 35.7 | 18 |
| 2 0 0 | 2.497 | 36.0 | 18 |
| 0 6 0 | 2.393 | 37.6 | 15 |
| 2 0 2 | 1.772 | 51.6 | 14 |
| 0 6 2 | 1.734 | 52.8 | 12 |
| 1 3 3 | 1.509 | 61.5 | 15 |
| 3 3 1 | 1.501 | 61.8 | 15 |
| 1 9 1 | 1.455 | 64.0 | 13 |
| 2 6 2 | 1.424 | 65.5 | 12 |

Structural model:
Cell: 4.994 14.358 5.031 Å, 90.00 90.00 90.00°
Space group Cmmm (No. 65)
One atom of each set of equivalent atoms:
K 0.000 0.000 0.000 [2 per cell]
Hg 0.000 0.171 0.500 [4 per cell]
Hg 0.000 0.327 0.000 [4 per cell]
Hg 0.000 0.500 0.500 [2 per cell]

The following is a simulated powder XRD pattern of K2LiHg10. It was derived from DFT lattice parameters and positions (PBE), using Cu Kα (weighted mean of Kα1 and Kα2).
Kinematic intensities with the Lorentz-polarization factor, no thermal factor.

The 10 most intense peaks (2θ from 10° to 90°), in order of rising 2θ:
| hkl | d/Å | Position (°2θ) | I/Imax |
| --- | --- | --- | --- |
| 0 0 1 | 6.705 | 13.2 | 100 |
| 1 1 2 | 3.101 | 28.8 | 25 |
| 2 0 2 | 2.894 | 30.9 | 39 |
| 3 2 1 | 2.882 | 31.0 | 29 |
| 4 1 0 | 2.779 | 32.2 | 47 |
| 2 4 0 | 2.600 | 34.5 | 39 |
| 1 3 2 | 2.478 | 36.3 | 27 |
| 3 4 0 | 2.316 | 38.9 | 23 |
| 3 2 2 | 2.312 | 39.0 | 39 |
| 1 4 2 | 2.160 | 41.8 | 31 |

Structural model:
Cell: 11.445 11.652 6.705 Å, 90.00 90.00 90.00°
Space group Pbam (No. 55)
One atom of each set of equivalent atoms:
K 0.155 0.119 0.000 [4 per cell]
Li 0.000 0.500 0.500 [2 per cell]
Hg 0.053 0.881 0.500 [4 per cell]
Hg 0.054 0.665 0.218 [8 per cell]
Hg 0.172 0.299 0.500 [4 per cell]
Hg 0.244 0.552 0.500 [4 per cell]